[1]
Calculated powder X-ray diffraction pattern
Compound: Ba2SnS4
Radiation: copper Kα
Structure: the GGA-PBE geometry in Alexandria
Lines closer than 0.1° are merged.

Main lines, sorted by position (10 to 80 degrees two-theta):
4.294 Å, 2θ = 20.7°, rel. 20, hkl 2 1 2; 3.880 Å, 2θ = 22.9°, rel. 19, hkl 4 1 0; 3.772 Å, 2θ = 23.6°, rel. 32, hkl 0 2 0; 3.713 Å, 2θ = 24.0°, rel. 100, hkl 0 1 3; 3.693 Å, 2θ = 24.1°, rel. 17, hkl 4 0 2; 3.103 Å, 2θ = 28.8°, rel. 20, hkl 4 0 3; 2.732 Å, 2θ = 32.8°, rel. 20, hkl 6 0 2; 2.639 Å, 2θ = 34.0°, rel. 18, hkl 4 2 2; 2.397 Å, 2θ = 37.5°, rel. 17, hkl 4 2 3; 2.166 Å, 2θ = 41.7°, rel. 16, hkl 0 3 3

Unit cell a=18.0951 b=7.5440 c=12.7944 alpha=90.00 beta=90.00 gamma=90.00
Atoms (fractional coordinates):
Ba: 0.0519 0.2216 0.1388
Ba: 0.1221 0.1956 0.7628
Ba: 0.1280 0.7144 0.3825
Ba: 0.1901 0.6907 0.0000
Ba: 0.3099 0.1907 0.5000
Ba: 0.3720 0.2144 0.8825
Ba: 0.3779 0.6956 0.2628
Ba: 0.4481 0.7216 0.6388
Ba: 0.5519 0.2784 0.1388
Ba: 0.6221 0.3044 0.7628
Ba: 0.6280 0.7856 0.3825
Ba: 0.6901 0.8093 0.0000
Ba: 0.8099 0.3093 0.5000
Ba: 0.8720 0.2856 0.8825
Ba: 0.8779 0.8044 0.2628
Ba: 0.9481 0.7784 0.6388
Sn: 0.0245 0.2722 0.4897
Sn: 0.2358 0.7072 0.6553
Sn: 0.2642 0.2072 0.1553
Sn: 0.4755 0.7722 0.9897
Sn: 0.5245 0.2278 0.4897
Sn: 0.7358 0.7928 0.6553
Sn: 0.7642 0.2928 0.1553
Sn: 0.9755 0.7278 0.9897
S: 0.0108 0.0402 0.3646
S: 0.0359 0.4610 0.9251
S: 0.0432 0.7967 0.1481
S: 0.1196 0.8445 0.6165
S: 0.1481 0.3560 0.5334
S: 0.1932 0.4670 0.2080
S: 0.1971 0.1231 0.9971
S: 0.2461 0.4917 0.7927
S: 0.2539 0.9917 0.2927
S: 0.3029 0.6231 0.4971
S: 0.3068 0.9670 0.7080
S: 0.3519 0.8560 0.0334
S: 0.3804 0.3445 0.1164
S: 0.4568 0.2967 0.6481
S: 0.4641 0.9610 0.4251
S: 0.4892 0.5402 0.8646
S: 0.5108 0.4598 0.3646
S: 0.5359 0.0390 0.9251
S: 0.5432 0.7033 0.1481
S: 0.6196 0.6555 0.6165
S: 0.6481 0.1440 0.5334
S: 0.6932 0.0330 0.2080
S: 0.6971 0.3769 0.9971
S: 0.7461 0.0083 0.7927
S: 0.7539 0.5083 0.2927
S: 0.8029 0.8769 0.4971
S: 0.8068 0.5330 0.7080
S: 0.8519 0.6440 0.0334
S: 0.8804 0.1555 0.1164
S: 0.9568 0.2033 0.6481
S: 0.9641 0.5390 0.4251
S: 0.9892 0.9598 0.8646



[2]
Calculated powder X-ray diffraction pattern
Compound: Ba2SnS4
Radiation: copper Kα
Structure: the GGA-PBE geometry in Alexandria
Lines closer than 0.1° are merged.

Main lines, sorted by position (10 to 80 degrees two-theta):
5.412 Å, 2θ = 16.4°, rel. 44, hkl 0 1 1; 3.630 Å, 2θ = 24.5°, rel. 61, hkl 1 1 -2; 3.615 Å, 2θ = 24.6°, rel. 51, hkl 0 1 2; 3.534 Å, 2θ = 25.2°, rel. 100, hkl 0 2 0; 3.444 Å, 2θ = 25.9°, rel. 44, hkl 2 0 0; 3.210 Å, 2θ = 27.8°, rel. 51, hkl 2 0 -2; 2.918 Å, 2θ = 30.6°, rel. 91, hkl 2 1 -2; 2.895 Å, 2θ = 30.9°, rel. 96, hkl 1 1 2; 2.467 Å, 2θ = 36.4°, rel. 83, hkl 2 2 0; 2.215 Å, 2θ = 40.7°, rel. 66, hkl 1 0 -4

Unit cell a=7.2560 b=7.0684 c=8.8632 alpha=90.00 beta=108.33 gamma=90.00
Atoms (fractional coordinates):
Ba: 0.2193 0.2500 0.0534
Ba: 0.2658 0.2500 0.5661
Ba: 0.7342 0.7500 0.4339
Ba: 0.7807 0.7500 0.9466
Sn: 0.2317 0.7500 0.8005
Sn: 0.7683 0.2500 0.1995
S: 0.0046 0.0090 0.7387
S: 0.0046 0.4910 0.7387
S: 0.4110 0.7500 0.0794
S: 0.4264 0.7500 0.6256
S: 0.5736 0.2500 0.3744
S: 0.5890 0.2500 0.9206
S: 0.9954 0.5090 0.2613
S: 0.9954 0.9910 0.2613